No. 1
This entry pairs a crystal structure of LaNd12Dy7 with its calculated X-ray diffraction stick pattern. Radiation: Cu Kα (weighted mean of Kα1 and Kα2). Structure: a structure optimized by DFT (PBE).

Principal peaks in the range 10° ≤ 2θ ≤ 90°, by angle:
| d (Å) | Position (°2θ) | Rel. int. |
| --- | --- | --- |
| 3.108 | 28.7 | 36 |
| 2.984 | 29.9 | 18 |
| 2.895 | 30.9 | 100 |
| 2.695 | 33.2 | 41 |
| 2.543 | 35.3 | 30 |
| 2.204 | 40.9 | 10 |
| 1.801 | 50.7 | 17 |
| 1.671 | 54.9 | 12 |
| 1.561 | 59.2 | 9 |
| 1.466 | 63.5 | 17 |

Cell and atoms:
a = 9.475 Å, b = 9.475 Å, c = 9.475 Å
α = 107.87°, β = 107.87°, γ = 107.87°
Positions (direct):
La 0.000 0.000 0.000
Nd 0.051 0.408 0.296
Nd 0.222 0.376 0.669
Nd 0.296 0.051 0.408
Nd 0.331 0.778 0.624
Nd 0.376 0.669 0.222
Nd 0.408 0.296 0.051
Nd 0.592 0.704 0.949
Nd 0.624 0.331 0.778
Nd 0.669 0.222 0.376
Nd 0.704 0.949 0.592
Nd 0.778 0.624 0.331
Nd 0.949 0.592 0.704
Dy 0.008 0.321 0.894
Dy 0.106 0.992 0.679
Dy 0.321 0.894 0.008
Dy 0.500 0.500 0.500
Dy 0.679 0.106 0.992
Dy 0.894 0.008 0.321
Dy 0.992 0.679 0.106

No. 2
This entry pairs a crystal structure of Tb3Nd8Sc2 with its calculated X-ray diffraction stick pattern. Radiation: Cu Kα (weighted mean of Kα1 and Kα2). Structure: a structure optimized by DFT (PBE).

Principal peaks in the range 10° ≤ 2θ ≤ 90°, by angle:
| d (Å) | Position (°2θ) | Rel. int. |
| --- | --- | --- |
| 3.626 | 24.5 | 16 |
| 3.063 | 29.2 | 18 |
| 3.008 | 29.7 | 48 |
| 2.862 | 31.3 | 75 |
| 2.701 | 33.2 | 100 |
| 2.575 | 34.8 | 15 |
| 1.914 | 47.5 | 17 |
| 1.680 | 54.6 | 26 |
| 1.619 | 56.9 | 21 |
| 1.406 | 66.5 | 15 |

Cell and atoms:
a = 10.658 Å, b = 10.658 Å, c = 5.723 Å
α = 90.03°, β = 90.03°, γ = 42.88°
Positions (direct):
Tb 0.000 0.000 0.000
Tb 0.288 0.712 0.500
Tb 0.712 0.288 0.500
Nd 0.133 0.133 0.500
Nd 0.184 0.594 0.000
Nd 0.321 0.321 0.499
Nd 0.406 0.816 0.000
Nd 0.594 0.184 0.000
Nd 0.679 0.679 0.501
Nd 0.816 0.406 0.000
Nd 0.867 0.867 0.500
Sc 0.240 0.240 0.999
Sc 0.760 0.760 0.001

No. 3
This entry pairs a crystal structure of La8Pm3Er2 with its calculated X-ray diffraction stick pattern. Radiation: Cu Kα (weighted mean of Kα1 and Kα2). Structure: a structure optimized by DFT (PBE).

Principal peaks in the range 10° ≤ 2θ ≤ 90°, by angle:
| d (Å) | Position (°2θ) | Rel. int. |
| --- | --- | --- |
| 3.595 | 24.8 | 16 |
| 3.080 | 29.0 | 28 |
| 2.986 | 29.9 | 89 |
| 2.899 | 30.8 | 100 |
| 2.801 | 32.0 | 28 |
| 2.759 | 32.5 | 20 |
| 2.437 | 36.9 | 21 |
| 2.334 | 38.6 | 16 |
| 1.707 | 53.7 | 21 |
| 1.494 | 62.1 | 16 |

Cell and atoms:
a = 8.995 Å, b = 8.995 Å, c = 6.245 Å
α = 106.64°, β = 106.64°, γ = 83.27°
Positions (direct):
La 0.053 0.053 0.294
La 0.069 0.582 0.829
La 0.355 0.355 0.442
La 0.418 0.931 0.171
La 0.582 0.069 0.829
La 0.645 0.645 0.558
La 0.931 0.418 0.171
La 0.947 0.947 0.706
Pm 0.251 0.749 0.500
Pm 0.500 0.500 0.000
Pm 0.749 0.251 0.500
Er 0.211 0.211 0.844
Er 0.789 0.789 0.156

Please write out number 3 again, unchanged.
This entry pairs a crystal structure of La8Pm3Er2 with its calculated X-ray diffraction stick pattern. Radiation: Cu Kα (weighted mean of Kα1 and Kα2). Structure: a structure optimized by DFT (PBE).

Principal peaks in the range 10° ≤ 2θ ≤ 90°, by angle:
| d (Å) | Position (°2θ) | Rel. int. |
| --- | --- | --- |
| 3.595 | 24.8 | 16 |
| 3.080 | 29.0 | 28 |
| 2.986 | 29.9 | 89 |
| 2.899 | 30.8 | 100 |
| 2.801 | 32.0 | 28 |
| 2.759 | 32.5 | 20 |
| 2.437 | 36.9 | 21 |
| 2.334 | 38.6 | 16 |
| 1.707 | 53.7 | 21 |
| 1.494 | 62.1 | 16 |

Cell and atoms:
a = 8.995 Å, b = 8.995 Å, c = 6.245 Å
α = 106.64°, β = 106.64°, γ = 83.27°
Positions (direct):
La 0.053 0.053 0.294
La 0.069 0.582 0.829
La 0.355 0.355 0.442
La 0.418 0.931 0.171
La 0.582 0.069 0.829
La 0.645 0.645 0.558
La 0.931 0.418 0.171
La 0.947 0.947 0.706
Pm 0.251 0.749 0.500
Pm 0.500 0.500 0.000
Pm 0.749 0.251 0.500
Er 0.211 0.211 0.844
Er 0.789 0.789 0.156